The following is a computed X-ray diffraction stick pattern of PaNi4Pt8. It was derived from a GGA-PBE-relaxed structure, using Cu Kα, 1.54184 Å.
Kinematic intensities with the Lorentz-polarization factor, no thermal factor.

Top 10 peaks for 2θ = 15–90°, in order of rising 2θ:
d/Å  two_theta  Rel. int.
3.103  28.77  22
2.571  34.90  44
2.543  35.29  51
2.218  40.67  27
2.200  41.02  100
2.194  41.14  43
1.980  45.83  45
1.967  46.15  21
1.402  66.74  24
1.268  74.88  32

Cell and atoms:
Cell lengths 8.7776, 8.7776, 5.1422 Å; angles 90.00, 90.00, 90.00 degrees
Space group I4/mmm (No. 139)
One atom of each set of equivalent atoms:
1 Pa 0.0000 0.0000 0.0000 x2
2 Ni 0.2500 0.2500 0.2500 x8
3 Pt 0.0000 0.2192 0.5000 x8
4 Pt 0.0000 0.3361 0.0000 x8



The following is a computed X-ray diffraction stick pattern of Pa4NiPt3. It was derived from a GGA-PBE-relaxed structure, using Cu Kα, 1.54184 Å.
Kinematic intensities with the Lorentz-polarization factor, no thermal factor.

Top 10 peaks for 2θ = 15–90°, in order of rising 2θ:
d/Å  two_theta  Rel. int.
2.872  31.14  29
2.663  33.66  100
2.641  33.94  37
2.360  38.13  37
2.227  40.51  49
2.070  43.72  27
1.824  50.00  19
1.629  56.47  18
1.443  64.58  16
1.213  78.93  16

Cell and atoms:
Cell lengths 3.6482, 4.1407, 11.4880 Å; angles 90.00, 90.00, 90.00 degrees
Space group Pmm2 (No. 25)
One atom of each set of equivalent atoms:
1 Pa 0.0000 0.0000 0.0000 x1
2 Pa 0.0000 0.5000 0.2875 x1
3 Pa 0.5000 0.0000 0.4920 x1
4 Pa 0.5000 0.5000 0.7978 x1
5 Ni 0.5000 0.0000 0.2360 x1
6 Pt 0.0000 0.0000 0.7254 x1
7 Pt 0.0000 0.5000 0.5557 x1
8 Pt 0.5000 0.5000 0.0801 x1



The following is a computed X-ray diffraction stick pattern of Pa2Ni3Pt. It was derived from a GGA-PBE-relaxed structure, using Cu Kα, 1.54184 Å.
Kinematic intensities with the Lorentz-polarization factor, no thermal factor.

Top 10 peaks for 2θ = 15–90°, in order of rising 2θ:
d/Å  two_theta  Rel. int.
3.837  23.18  34
2.558  35.08  100
2.394  37.57  63
2.344  38.41  38
2.011  45.08  45
1.716  53.38  15
1.675  54.82  41
1.391  67.32  15
1.306  72.38  22
1.203  79.69  16

Cell and atoms:
Cell lengths 6.8657, 9.3748, 13.3582 Å; angles 90.00, 90.00, 90.00 degrees
Space group Fmmm (No. 69)
One atom of each set of equivalent atoms:
1 Pa 0.2431 0.0000 0.0000 x8
2 Pa 0.2500 0.2500 0.2500 x8
3 Ni 0.0000 0.0000 0.1472 x8
4 Ni 0.0000 0.2435 0.0932 x16
5 Pt 0.0000 0.0000 0.3389 x8



The following is a computed X-ray diffraction stick pattern of Pa2Si3Ni4Pt. It was derived from a GGA-PBE-relaxed structure, using Cu Kα, 1.54184 Å.
Kinematic intensities with the Lorentz-polarization factor, no thermal factor.

Top 10 peaks for 2θ = 15–90°, in order of rising 2θ:
d/Å  two_theta  Rel. int.
3.604  24.70  44
2.592  34.61  19
2.570  34.91  46
2.407  37.36  100
1.922  47.30  34
1.825  49.98  23
1.544  59.92  16
1.539  60.12  20
1.323  71.26  16
1.183  81.30  21

Cell and atoms:
Cell lengths 3.8439, 3.8439, 10.3666 Å; angles 90.00, 90.00, 90.00 degrees
Space group P-4m2 (No. 115)
One atom of each set of equivalent atoms:
1 Pa 0.0000 0.5000 0.2501 x2
2 Si 0.0000 0.0000 0.0000 x1
3 Si 0.0000 0.5000 0.6191 x2
4 Ni 0.0000 0.0000 0.5000 x1
5 Ni 0.0000 0.5000 0.8374 x2
6 Ni 0.5000 0.5000 0.5000 x1
7 Pt 0.5000 0.5000 0.0000 x1



The following is a computed X-ray diffraction stick pattern of PuPaNi10. It was derived from a GGA-PBE-relaxed structure, using Cu Kα, 1.54184 Å.
Kinematic intensities with the Lorentz-polarization factor, no thermal factor.

Top 10 peaks for 2θ = 15–90°, in order of rising 2θ:
d/Å  two_theta  Rel. int.
4.209  21.11  16
2.890  30.94  74
2.430  36.99  38
2.105  42.98  38
2.073  43.66  100
1.987  45.65  25
1.538  60.15  19
1.477  62.93  21
1.445  64.49  22
1.163  83.02  16

Cell and atoms:
Cell lengths 3.9749, 4.8633, 8.4127 Å; angles 90.00, 90.00, 90.00 degrees
Space group Pmmm (No. 47)
One atom of each set of equivalent atoms:
1 Pu 0.0000 0.0000 0.0000 x1
2 Pa 0.0000 0.5000 0.5000 x1
3 Ni 0.0000 0.0000 0.3365 x2
4 Ni 0.0000 0.5000 0.1700 x2
5 Ni 0.5000 0.0000 0.5000 x1
6 Ni 0.5000 0.2521 0.2533 x4
7 Ni 0.5000 0.5000 0.0000 x1



The following is a computed X-ray diffraction stick pattern of PuPaNi2S4. It was derived from a GGA-PBE-relaxed structure, using Cu Kα, 1.54184 Å.
Kinematic intensities with the Lorentz-polarization factor, no thermal factor.

Top 10 peaks for 2θ = 15–90°, in order of rising 2θ:
d/Å  two_theta  Rel. int.
4.462  19.90  54
3.164  28.21  23
3.146  28.37  23
2.766  32.37  100
2.355  38.22  24
2.347  38.35  24
2.231  40.43  45
1.739  52.62  26
1.734  52.81  26
1.383  67.75  15

Cell and atoms:
Cell lengths 6.2921, 6.3275, 7.0507 Å; angles 90.00, 90.00, 90.00 degrees
Space group Immm (No. 71)
One atom of each set of equivalent atoms:
1 Pu 0.0000 0.0000 0.0000 x2
2 Pa 0.0000 0.0000 0.5000 x2
3 Ni 0.0000 0.5000 0.1975 x4
4 S 0.2500 0.2500 0.2500 x8



The following is a computed X-ray diffraction stick pattern of Rb4Pa3NiS8. It was derived from a GGA-PBE-relaxed structure, using Cu Kα, 1.54184 Å.
Kinematic intensities with the Lorentz-polarization factor, no thermal factor.

Top 10 peaks for 2θ = 15–90°, in order of rising 2θ:
d/Å  two_theta  Rel. int.
3.881  22.92  47
3.417  26.08  29
3.283  27.16  52
3.064  29.14  57
2.942  30.39  100
2.249  40.09  20
2.221  40.63  40
2.036  44.51  36
1.943  46.76  26
1.920  47.34  18

Cell and atoms:
Cell lengths 14.3364, 7.7763, 9.0773 Å; angles 90.00, 121.24, 90.00 degrees
Space group C2/m (No. 12)
One atom of each set of equivalent atoms:
1 Rb 0.0000 0.0000 0.0000 x2
2 Rb 0.0000 0.5000 0.0000 x2
3 Rb 0.2500 0.2500 0.0000 x4
4 Pa 0.0000 0.0000 0.5000 x2
5 Pa 0.2500 0.2500 0.5000 x4
6 Ni 0.0000 0.5000 0.5000 x2
7 S 0.0230 0.2668 0.3237 x8
8 S 0.2268 0.0000 0.6963 x4
9 S 0.2470 0.0000 0.2895 x4



The following is a computed X-ray diffraction stick pattern of Pa4Ni6Rh7. It was derived from a GGA-PBE-relaxed structure, using Cu Kα, 1.54184 Å.
Kinematic intensities with the Lorentz-polarization factor, no thermal factor.

Top 10 peaks for 2θ = 15–90°, in order of rising 2θ:
d/Å  two_theta  Rel. int.
4.067  21.85  18
2.876  31.10  43
2.348  38.33  100
2.174  41.54  12
2.034  44.55  61
1.819  50.15  13
1.660  55.33  14
1.438  64.84  36
1.226  77.90  32
1.174  82.08  11

Cell and atoms:
Cell lengths 8.1345, 8.1345, 8.1345 Å; angles 90.00, 90.00, 90.00 degrees
Space group Im-3m (No. 229)
One atom of each set of equivalent atoms:
1 Pa 0.2500 0.2500 0.2500 x8
2 Ni 0.0000 0.0000 0.2982 x12
3 Rh 0.0000 0.0000 0.0000 x2
4 Rh 0.0000 0.2500 0.5000 x12



The following is a computed X-ray diffraction stick pattern of Pa2Ni2Rh. It was derived from a GGA-PBE-relaxed structure, using Cu Kα, 1.54184 Å.
Kinematic intensities with the Lorentz-polarization factor, no thermal factor.

Top 10 peaks for 2θ = 15–90°, in order of rising 2θ:
d/Å  two_theta  Rel. int.
3.559  25.02  23
3.179  28.06  32
2.517  35.68  70
2.373  37.91  100
2.248  40.11  33
1.783  51.24  15
1.724  53.11  19
1.552  59.55  27
1.517  61.10  17
1.397  66.99  14

Cell and atoms:
Cell lengths 7.1095, 7.1095, 7.1320 Å; angles 90.00, 90.00, 90.00 degrees
Space group P4/mnc (No. 128)
One atom of each set of equivalent atoms:
1 Pa 0.1797 0.3204 0.0000 x8
2 Ni 0.1243 0.6243 0.2500 x8
3 Rh 0.0000 0.0000 0.2489 x4



The following is a computed X-ray diffraction stick pattern of Pa4Ni12Rh. It was derived from a GGA-PBE-relaxed structure, using Cu Kα, 1.54184 Å.
Kinematic intensities with the Lorentz-polarization factor, no thermal factor.

Top 10 peaks for 2θ = 15–90°, in order of rising 2θ:
d/Å  two_theta  Rel. int.
3.973  22.38  34
2.809  31.86  92
2.294  39.28  100
1.986  45.67  63
1.777  51.43  30
1.622  56.76  25
1.405  66.58  33
1.324  71.21  19
1.256  75.71  24
1.198  80.12  28

Cell and atoms:
Cell lengths 7.9454, 7.9454, 7.9454 Å; angles 90.00, 90.00, 90.00 degrees
Space group Im-3m (No. 229)
One atom of each set of equivalent atoms:
1 Pa 0.2500 0.2500 0.2500 x8
2 Ni 0.0000 0.0000 0.3223 x12
3 Ni 0.0000 0.2500 0.5000 x12
4 Rh 0.0000 0.0000 0.0000 x2



The following is a computed X-ray diffraction stick pattern of PaNiRh3. It was derived from a GGA-PBE-relaxed structure, using Cu Kα, 1.54184 Å.
Kinematic intensities with the Lorentz-polarization factor, no thermal factor.

Top 10 peaks for 2θ = 15–90°, in order of rising 2θ:
d/Å  two_theta  Rel. int.
3.952  22.50  21
3.422  26.04  14
3.061  29.17  13
2.282  39.50  100
2.164  41.73  59
2.064  43.87  41
1.829  49.85  19
1.342  70.10  36
1.271  74.68  24
1.250  76.18  12

Cell and atoms:
Cell lengths 6.8446, 6.8446, 6.8446 Å; angles 90.00, 90.00, 90.00 degrees
Space group P2_13 (No. 198)
One atom of each set of equivalent atoms:
1 Pa 0.1957 0.1957 0.1957 x4
2 Ni 0.0498 0.9502 0.4502 x4
3 Rh 0.0563 0.1240 0.7986 x12



The following is a computed X-ray diffraction stick pattern of Pa2Si3Ni12Rh. It was derived from a GGA-PBE-relaxed structure, using Cu Kα, 1.54184 Å.
Kinematic intensities with the Lorentz-polarization factor, no thermal factor.

Top 10 peaks for 2θ = 15–90°, in order of rising 2θ:
d/Å  two_theta  Rel. int.
4.193  21.19  21
4.001  22.22  37
2.895  30.89  71
2.096  43.15  100
2.071  43.71  28
2.002  45.29  47
1.857  49.06  28
1.806  50.55  20
1.473  63.10  19
1.448  64.35  25

Cell and atoms:
Cell lengths 8.3855, 8.3855, 12.0026 Å; angles 90.00, 90.00, 120.00 degrees
Space group R-3m (No. 166, hexagonal axes)
One atom of each set of equivalent atoms:
1 Pa 0.0000 0.0000 0.1679 x6
2 Si 0.0000 0.5000 0.0000 x9
3 Ni 0.0064 0.5032 0.8050 x18
4 Ni 0.0119 0.5060 0.3915 x18
5 Rh 0.0000 0.0000 0.5000 x3